# 1
Calculated powder XRD pattern of PmCd4Hg for Cu Kα (weighted mean of Kα1 and Kα2), from a crystal structure in Alexandria, relaxed with GGA-PBE.

Peak list (12 most intense, 2θ = 15–90°, in order of rising 2θ)
two_theta  d (Å)  I/Imax
31.2  2.871  19
31.5  2.842  18
31.8  2.812  57
32.0  2.799  65
33.5  2.677  45
35.5  2.527  14
37.3  2.409  53
37.6  2.395  100
47.4  1.917  18
50.8  1.796  13
51.5  1.775  13
62.0  1.497  18

abc: 4.7949 7.6663 8.0301
angles: 90.00 90.67 90.00
Fractional positions:
Pm  0.0071  0.2500  0.3509
Pm  0.9929  0.7500  0.6491
Cd  0.0062  0.7500  0.2599
Cd  0.4930  0.0485  0.6732
Cd  0.4930  0.4515  0.6732
Cd  0.4986  0.7500  0.9380
Cd  0.5014  0.2500  0.0620
Cd  0.5070  0.5485  0.3268
Cd  0.5070  0.9515  0.3268
Cd  0.9938  0.2500  0.7401
Hg  0.0000  0.0000  0.0000
Hg  0.0000  0.5000  0.0000



# 2
Calculated powder XRD pattern of Li3Dy5S8 for Cu Kα (weighted mean of Kα1 and Kα2), from a crystal structure in Alexandria, relaxed with GGA-PBE.

Peak list (12 most intense, 2θ = 15–90°, in order of rising 2θ)
two_theta  d (Å)  I/Imax
27.0  3.308  37
28.2  3.166  37
32.7  2.736  100
35.8  2.509  15
46.8  1.941  36
47.1  1.929  35
49.1  1.854  13
55.7  1.651  12
58.3  1.583  18
77.9  1.227  16
78.3  1.221  16
87.2  1.118  12

abc: 7.7159 7.7159 7.7159
angles: 60.40 60.40 60.40
Fractional positions:
Li  0.0000  0.5000  0.5000
Li  0.5000  0.0000  0.5000
Li  0.5000  0.5000  0.0000
Dy  0.0000  0.0000  0.0000
Dy  0.0000  0.0000  0.5000
Dy  0.0000  0.5000  0.0000
Dy  0.5000  0.0000  0.0000
Dy  0.5000  0.5000  0.5000
S  0.2505  0.2505  0.2505
S  0.2500  0.2500  0.7449
S  0.2500  0.7449  0.2500
S  0.2551  0.7500  0.7500
S  0.7449  0.2500  0.2500
S  0.7500  0.2551  0.7500
S  0.7500  0.7500  0.2551
S  0.7495  0.7495  0.7495